Diffraction record for PrSnAu. The powder XRD pattern is theoretical, not measured: it uses DFT lattice parameters and positions (PBE) and Cu Kα X-rays.
No peak broadening, texture or thermal motion is included.

Main lines, sorted by position (10° ≤ 2θ ≤ 80°):
| d [Å] | intensity | (hkl) |
| --- | --- | --- |
| 4.025 | 13 | 0 0 2 |
| 3.661 | 9 | 1 0 1 |
| 2.876 | 100 | 1 0 2 |
| 2.374 | 69 | 1 1 0 |
| 2.045 | 14 | 1 1 2 |
| 2.012 | 14 | 0 0 4 |
| 1.831 | 27 | 2 0 2 |
| 1.535 | 36 | 1 1 4 |
| 1.450 | 26 | 2 1 2 |
| 1.370 | 13 | 3 0 0 |

Structure:
a b c (Å): 4.7471 4.7471 8.0498
angles (deg): 90.00 90.00 120.00
Fractional coordinates of all 6 atoms:
Pr 0.0000 0.0000 0.0000
Pr 0.0000 0.0000 0.5000
Sn 0.3333 0.6667 0.2500
Sn 0.6667 0.3333 0.7500
Au 0.3333 0.6667 0.7500
Au 0.6667 0.3333 0.2500